Computed powder XRD pattern
Compound: TlTeI3
Radiation: Cu Kα, 1.54184 Å
Structure: a DFT-relaxed cell (GGA-PBE, Alexandria)
Peak positions follow from Bragg's law for the DFT cell and can differ from measured ones.

Structural model:
```
TlTeI3
1.0
5.1173 0.0000 0.0000
-2.3599 9.5039 0.0000
-1.9929 -3.0301 9.7727
Tl Te I
2 2 6
direct
0.0209 0.2398 0.3125 Tl
0.9791 0.7602 0.6875 Tl
0.4201 0.6726 0.1682 Te
0.5799 0.3274 0.8318 Te
0.3231 0.6557 0.4311 I
0.3649 0.9604 0.1892 I
0.4904 0.3548 0.1204 I
0.5096 0.6452 0.8796 I
0.6351 0.0396 0.8108 I
0.6769 0.3443 0.5689 I
```

Main lines, by angle (2θ = 10–80°):
d 4.539, 19.56°, rel. 45; d 4.191, 21.20°, rel. 47; d 3.914, 22.72°, rel. 100; d 3.100, 28.80°, rel. 88; d 3.026, 29.52°, rel. 52; d 3.013, 29.65°, rel. 54; d 2.997, 29.82°, rel. 73; d 2.977, 30.02°, rel. 70; d 2.557, 35.09°, rel. 63; d 2.416, 37.22°, rel. 46

---

Computed powder XRD pattern
Compound: Pm14NdMg
Radiation: Cu Kα, 1.54184 Å
Structure: a DFT-relaxed cell (GGA-PBE, Alexandria)
Peak positions follow from Bragg's law for the DFT cell and can differ from measured ones.

Structural model:
```
Pm14NdMg
1.0
10.2786 0.0000 0.0000
0.0000 5.1192 5.1190
0.0000 -5.1192 5.1190
Pm Nd Mg
14 1 1
direct
0.0000 0.0000 0.0000 Pm
0.0000 0.0000 0.5000 Pm
0.0000 0.5000 0.0000 Pm
0.0000 0.4998 0.4998 Pm
0.2521 0.2490 0.2490 Pm
0.2519 0.2490 0.7508 Pm
0.2519 0.7508 0.2490 Pm
0.2519 0.7508 0.7508 Pm
0.5000 0.0000 0.4998 Pm
0.5000 0.4998 0.0000 Pm
0.7479 0.2490 0.2490 Pm
0.7481 0.2490 0.7508 Pm
0.7481 0.7508 0.2490 Pm
0.7481 0.7508 0.7508 Pm
0.5000 0.5001 0.5001 Nd
0.5000 0.9993 0.9993 Mg
```

Main lines, by angle (2θ = 10–80°):
d 2.959, 30.20°, rel. 100; d 2.570, 34.92°, rel. 17; d 2.560, 35.06°, rel. 34; d 1.813, 50.32°, rel. 24; d 1.810, 50.42°, rel. 12; d 1.548, 59.72°, rel. 14; d 1.544, 59.91°, rel. 29; d 1.480, 62.80°, rel. 12; d 1.285, 73.74°, rel. 2; d 1.280, 74.08°, rel. 4

---

Computed powder XRD pattern
Compound: Lu2CuB4O10
Radiation: Cu Kα, 1.54184 Å
Structure: a DFT-relaxed cell (GGA-PBE, Alexandria)
Peak positions follow from Bragg's law for the DFT cell and can differ from measured ones.

Structural model:
```
Lu2CuB4O10
1.0
4.5603 0.0000 0.0000
0.0000 7.2036 0.0000
-0.0146 0.0000 9.2997
Lu Cu B O
4 2 8 20
direct
0.0017 0.1019 0.1640 Lu
0.0017 0.3981 0.6640 Lu
0.9983 0.6019 0.3360 Lu
0.9983 0.8981 0.8360 Lu
0.0000 0.0000 0.5000 Cu
0.0000 0.5000 0.0000 Cu
0.4615 0.7296 0.5787 B
0.4615 0.7704 0.0787 B
0.4710 0.0976 0.6646 B
0.4710 0.4024 0.1646 B
0.5290 0.5976 0.8354 B
0.5290 0.9024 0.3355 B
0.5385 0.2296 0.9213 B
0.5385 0.2704 0.4213 B
0.2126 0.5899 0.8314 O
0.2126 0.9101 0.3314 O
0.2272 0.6087 0.5397 O
0.2272 0.8913 0.0397 O
0.3221 0.5899 0.1389 O
0.3221 0.9101 0.6389 O
0.3385 0.1619 0.8036 O
0.3385 0.3381 0.3036 O
0.3566 0.2240 0.5506 O
0.3566 0.2760 0.0506 O
0.6434 0.7240 0.9494 O
0.6434 0.7760 0.4494 O
0.6615 0.6619 0.6964 O
0.6615 0.8381 0.1964 O
0.6779 0.0899 0.3611 O
0.6779 0.4101 0.8611 O
0.7728 0.1087 0.9603 O
0.7728 0.3913 0.4603 O
0.7874 0.0899 0.6686 O
0.7874 0.4101 0.1686 O
```

Main lines, by angle (2θ = 10–80°):
d 4.560, 19.47°, rel. 100; d 3.907, 22.76°, rel. 34; d 3.359, 26.54°, rel. 42; d 2.967, 30.12°, rel. 48; d 2.847, 31.42°, rel. 43; d 2.704, 33.13°, rel. 88; d 2.415, 37.23°, rel. 90; d 1.933, 47.02°, rel. 32; d 1.887, 48.24°, rel. 31; d 1.780, 51.34°, rel. 41

---

Computed powder XRD pattern
Compound: Ac2BiAu10
Radiation: Cu Kα, 1.54184 Å
Structure: a DFT-relaxed cell (GGA-PBE, Alexandria)
Peak positions follow from Bragg's law for the DFT cell and can differ from measured ones.

Structural model:
```
Ac2BiAu10
1.0
5.4510 0.0000 0.0000
0.0000 6.4826 0.0000
-1.1778 0.0000 16.8505
Ac Bi Au
4 2 20
direct
0.1857 0.1319 0.3585 Ac
0.1857 0.3681 0.8585 Ac
0.8143 0.6319 0.1415 Ac
0.8143 0.8681 0.6415 Ac
0.5000 0.0000 0.0000 Bi
0.5000 0.5000 0.5000 Bi
0.0339 0.1686 0.0570 Au
0.0339 0.3314 0.5570 Au
0.1922 0.6312 0.3012 Au
0.1922 0.8688 0.8012 Au
0.2853 0.5729 0.0379 Au
0.2853 0.9271 0.5379 Au
0.3133 0.5867 0.6779 Au
0.3133 0.9133 0.1779 Au
0.3325 0.1504 0.6847 Au
0.3325 0.3496 0.1847 Au
0.6675 0.6504 0.8153 Au
0.6675 0.8496 0.3153 Au
0.6867 0.0867 0.8221 Au
0.6867 0.4133 0.3221 Au
0.7147 0.0729 0.4621 Au
0.7147 0.4271 0.9621 Au
0.8078 0.1312 0.1988 Au
0.8078 0.3688 0.6988 Au
0.9661 0.6686 0.4430 Au
0.9661 0.8314 0.9430 Au
```

Main lines, by angle (2θ = 10–80°):
d 3.045, 29.33°, rel. 32; d 2.808, 31.87°, rel. 42; d 2.763, 32.40°, rel. 33; d 2.691, 33.29°, rel. 19; d 2.533, 35.44°, rel. 100; d 2.459, 36.53°, rel. 92; d 2.427, 37.04°, rel. 25; d 2.361, 38.11°, rel. 36; d 2.346, 38.36°, rel. 24; d 2.108, 42.90°, rel. 21

---

Please write out number 1 again, unchanged.
Computed powder XRD pattern
Compound: TlTeI3
Radiation: Cu Kα, 1.54184 Å
Structure: a DFT-relaxed cell (GGA-PBE, Alexandria)
Peak positions follow from Bragg's law for the DFT cell and can differ from measured ones.

Structural model:
```
TlTeI3
1.0
5.1173 0.0000 0.0000
-2.3599 9.5039 0.0000
-1.9929 -3.0301 9.7727
Tl Te I
2 2 6
direct
0.0209 0.2398 0.3125 Tl
0.9791 0.7602 0.6875 Tl
0.4201 0.6726 0.1682 Te
0.5799 0.3274 0.8318 Te
0.3231 0.6557 0.4311 I
0.3649 0.9604 0.1892 I
0.4904 0.3548 0.1204 I
0.5096 0.6452 0.8796 I
0.6351 0.0396 0.8108 I
0.6769 0.3443 0.5689 I
```

Main lines, by angle (2θ = 10–80°):
d 4.539, 19.56°, rel. 45; d 4.191, 21.20°, rel. 47; d 3.914, 22.72°, rel. 100; d 3.100, 28.80°, rel. 88; d 3.026, 29.52°, rel. 52; d 3.013, 29.65°, rel. 54; d 2.997, 29.82°, rel. 73; d 2.977, 30.02°, rel. 70; d 2.557, 35.09°, rel. 63; d 2.416, 37.22°, rel. 46